Record 1
# La3Y6Sc2
Theoretical PXRD pattern, Cu Kα (weighted mean of Kα1 and Kα2). Input: DFT lattice parameters and positions (PBE).
Kinematic intensities with the Lorentz-polarization factor, no thermal factor.

The 6 most intense peaks (5 to 70 degrees two-theta), sorted by position:
h k l	Position (°2θ)	Rel. int.
0 0 1	8.59	32
0 0 3	25.98	22
1 3 -1	28.52	30
2 0 0	31.08	75
1 1 3	31.27	36
1 3 2	32.33	100

Structure:
a = 5.750 Å, b = 12.010 Å, c = 10.288 Å
α = 90.00°, β = 90.05°, γ = 90.00°
Space group C2/m (No. 12)
One atom of each set of equivalent atoms:
La 0.000 0.000 0.000
La 0.000 0.289 0.000
Y 0.000 0.151 0.319
Y 0.001 0.500 0.784
Sc 0.000 0.374 0.500

Record 2
# La4Y4Sc
Theoretical PXRD pattern, Cu Kα (weighted mean of Kα1 and Kα2). Input: DFT lattice parameters and positions (PBE).
Kinematic intensities with the Lorentz-polarization factor, no thermal factor.

The 6 most intense peaks (5 to 70 degrees two-theta), sorted by position:
h k l	Position (°2θ)	Rel. int.
3 0 1	30.24	100
0 0 2	34.82	17
3 3 0	35.17	33
3 3 2	50.33	24
3 0 3	59.61	14
6 3 1	60.08	27

Structure:
a = 10.825 Å, b = 10.825 Å, c = 5.153 Å
α = 90.00°, β = 90.00°, γ = 90.00°
Space group I4/mmm (No. 139)
One atom of each set of equivalent atoms:
La 0.000 0.332 0.000
Y 0.162 0.162 0.500
Sc 0.000 0.000 0.000

Record 3
# La6YSc2
Theoretical PXRD pattern, Cu Kα (weighted mean of Kα1 and Kα2). Input: DFT lattice parameters and positions (PBE).
Kinematic intensities with the Lorentz-polarization factor, no thermal factor.

The 6 most intense peaks (5 to 70 degrees two-theta), sorted by position:
h k l	Position (°2θ)	Rel. int.
0 2 1	26.57	22
3 1 0	29.23	45
0 6 0	30.50	100
2 2 1	32.92	31
3 5 0	38.69	24
3 3 1	41.27	31

Structure:
a = 9.307 Å, b = 17.596 Å, c = 3.628 Å
α = 90.00°, β = 90.00°, γ = 90.00°
Space group Cmmm (No. 65)
One atom of each set of equivalent atoms:
La 0.173 0.000 0.000
La 0.174 0.168 0.500
Y 0.000 0.500 0.500
Sc 0.000 0.328 0.000

Record 4
# La12Y6Sc
Theoretical PXRD pattern, Cu Kα (weighted mean of Kα1 and Kα2). Input: DFT lattice parameters and positions (PBE).
Kinematic intensities with the Lorentz-polarization factor, no thermal factor.

The 6 most intense peaks (5 to 70 degrees two-theta), sorted by position:
h k l	Position (°2θ)	Rel. int.
0 0 3	29.72	34
5 -2 1	29.94	100
2 3 2	34.64	68
5 -2 4	49.66	24
7 1 0	49.95	25
7 1 3	59.21	28

Structure:
a = 15.9185 Å, b = 15.9185 Å, c = 9.0182 Å
α = 90.00°, β = 90.00°, γ = 120.00°
Space group R-3 (No. 148, hexagonal axes)
One atom of each set of equivalent atoms:
La 0.0353 0.7536 0.3354
La 0.0733 0.5102 0.6661
Y 0.0172 0.8807 0.6678
Sc 0.0000 0.0000 0.0000

Record 5
# La3Y2Sc2
Theoretical PXRD pattern, Cu Kα (weighted mean of Kα1 and Kα2). Input: DFT lattice parameters and positions (PBE).
Kinematic intensities with the Lorentz-polarization factor, no thermal factor.

The 6 most intense peaks (5 to 70 degrees two-theta), sorted by position:
h k l	Position (°2θ)	Rel. int.
0 2 0	5.00	72
0 6 1	29.34	52
1 7 0	30.50	100
0 8 1	32.32	47
0 14 0	35.58	98
1 7 2	60.95	28

Structure:
a = 3.599 Å, b = 35.341 Å, c = 3.556 Å
α = 90.00°, β = 90.00°, γ = 90.00°
Space group Cmmm (No. 65)
One atom of each set of equivalent atoms:
La 0.000 0.000 0.000
La 0.000 0.423 0.500
Y 0.000 0.293 0.500
Sc 0.000 0.145 0.000

Record 6
# La3Y2Sc
Theoretical PXRD pattern, Cu Kα (weighted mean of Kα1 and Kα2). Input: DFT lattice parameters and positions (PBE).
Kinematic intensities with the Lorentz-polarization factor, no thermal factor.

The 6 most intense peaks (5 to 70 degrees two-theta), sorted by position:
h k l	Position (°2θ)	Rel. int.
0 6 0	30.16	25
2 0 0	30.58	29
1 3 1	31.56	100
2 6 0	43.49	18
1 9 1	54.46	15
3 3 1	54.98	20

Structure:
a = 5.846 Å, b = 17.777 Å, c = 3.873 Å
α = 90.00°, β = 90.00°, γ = 90.00°
Space group Cmmm (No. 65)
One atom of each set of equivalent atoms:
La 0.000 0.000 0.000
La 0.000 0.348 0.000
Y 0.000 0.175 0.500
Sc 0.000 0.500 0.500

Record 7
# La2YSc
Theoretical PXRD pattern, Cu Kα (weighted mean of Kα1 and Kα2). Input: DFT lattice parameters and positions (PBE).
Kinematic intensities with the Lorentz-polarization factor, no thermal factor.

The 6 most intense peaks (5 to 70 degrees two-theta), sorted by position:
h k l	Position (°2θ)	Rel. int.
1 1 0	30.45	100
0 1 2	30.86	96
0 2 0	35.41	33
1 0 2	35.61	65
1 2 2	51.09	45
1 3 0	60.54	41

Structure:
a = 3.601 Å, b = 5.070 Å, c = 7.063 Å
α = 90.00°, β = 90.01°, γ = 90.00°
Space group Pm (No. 6)
One atom of each set of equivalent atoms:
La 0.000 0.000 0.000
La 0.498 0.500 0.257
Y 0.501 0.500 0.738
Sc 0.999 0.000 0.506

Record 8
# La2Y8Sc
Theoretical PXRD pattern, Cu Kα (weighted mean of Kα1 and Kα2). Input: DFT lattice parameters and positions (PBE).
Kinematic intensities with the Lorentz-polarization factor, no thermal factor.

The 6 most intense peaks (5 to 70 degrees two-theta), sorted by position:
h k l	Position (°2θ)	Rel. int.
3 1 -1	30.50	100
2 0 -2	30.91	25
1 1 -2	31.57	20
1 5 -1	32.04	86
2 4 0	32.26	35
2 2 -2	32.93	20

Structure:
a = 8.947 Å, b = 15.950 Å, c = 5.877 Å
α = 90.00°, β = 120.23°, γ = 90.00°
Space group C2/m (No. 12)
One atom of each set of equivalent atoms:
La 0.000 0.196 0.000
Y 0.000 0.295 0.500
Y 0.092 0.000 0.302
Y 0.211 0.389 0.158
Sc 0.000 0.500 0.500

Record 9
# La2Y8Sc3
Theoretical PXRD pattern, Cu Kα (weighted mean of Kα1 and Kα2). Input: DFT lattice parameters and positions (PBE).
Kinematic intensities with the Lorentz-polarization factor, no thermal factor.

The 6 most intense peaks (5 to 70 degrees two-theta), sorted by position:
h k l	Position (°2θ)	Rel. int.
2 2 1	30.70	28
4 2 -1	31.51	97
0 4 0	31.58	100
3 1 1	33.73	28
2 2 -2	33.90	22
1 3 -2	38.95	27

Structure:
a = 13.273 Å, b = 11.332 Å, c = 5.984 Å
α = 90.00°, β = 114.67°, γ = 90.00°
Space group C2/m (No. 12)
One atom of each set of equivalent atoms:
La 0.179 0.000 0.347
Y 0.085 0.000 0.784
Y 0.137 0.500 0.109
Y 0.156 0.267 0.656
Sc 0.000 0.242 0.000
Sc 0.000 0.500 0.500

Record 10
# La4YSc2
Theoretical PXRD pattern, Cu Kα (weighted mean of Kα1 and Kα2). Input: DFT lattice parameters and positions (PBE).
Kinematic intensities with the Lorentz-polarization factor, no thermal factor.

The 6 most intense peaks (5 to 70 degrees two-theta), sorted by position:
h k l	Position (°2θ)	Rel. int.
1 1 -2	26.88	18
0 4 3	27.91	100
1 3 -2	31.46	37
0 0 6	31.82	65
1 3 2	33.16	22
0 4 5	35.27	21

Structure:
a = 3.570 Å, b = 15.540 Å, c = 16.953 Å
α = 90.00°, β = 95.61°, γ = 90.00°
Space group C2/c (No. 15)
One atom of each set of equivalent atoms:
La 0.079 0.187 0.077
La 0.171 0.449 0.421
Y 0.000 0.313 0.250
Sc 0.000 0.012 0.750
Sc 0.000 0.360 0.750

Record 11
# La3Y3Sc
Theoretical PXRD pattern, Cu Kα (weighted mean of Kα1 and Kα2). Input: DFT lattice parameters and positions (PBE).
Kinematic intensities with the Lorentz-polarization factor, no thermal factor.

The 6 most intense peaks (5 to 70 degrees two-theta), sorted by position:
h k l	Position (°2θ)	Rel. int.
0 1 3	26.41	43
3 1 2	29.27	86
2 1 3	29.72	38
0 2 0	31.20	100
4 1 1	32.06	82
1 1 4	33.30	74

Structure:
a = 13.224 Å, b = 5.734 Å, c = 12.524 Å
α = 90.00°, β = 90.00°, γ = 90.00°
Space group Pnma (No. 62)
One atom of each set of equivalent atoms:
La 0.121 0.250 0.187
La 0.141 0.750 0.811
La 0.211 0.750 0.423
Y 0.008 0.250 0.939
Y 0.023 0.250 0.434
Y 0.241 0.250 0.610
Sc 0.008 0.250 0.696

Record 12
# LaY6Sc3
Theoretical PXRD pattern, Cu Kα (weighted mean of Kα1 and Kα2). Input: DFT lattice parameters and positions (PBE).
Kinematic intensities with the Lorentz-polarization factor, no thermal factor.

The 6 most intense peaks (5 to 70 degrees two-theta), sorted by position:
h k l	Position (°2θ)	Rel. int.
2 4 1	29.33	74
3 1 1	31.93	100
1 7 0	32.10	59
1 3 2	32.70	82
3 3 1	34.32	44
5 7 0	57.93	43

Structure:
a = 9.500 Å, b = 20.417 Å, c = 6.304 Å
α = 90.00°, β = 90.00°, γ = 90.00°
Space group Cmc2_1 (No. 36)
One atom of each set of equivalent atoms:
La 0.000 0.159 0.000
Y 0.000 0.015 0.226
Y 0.000 0.302 0.213
Y 0.177 0.283 0.676
Y 0.178 0.445 0.423
Sc 0.000 0.415 0.900
Sc 0.170 0.126 0.524